Diffraction record for La2Pm2Sc. The powder diffraction line list is computed, not measured: it uses DFT lattice parameters and positions (PBE) and CuKα.
No peak broadening, texture or thermal motion is included.

Crystal structure
```
data_La2Pm2Sc
_chemical_formula_sum 'La8 Pm8 Sc4'
_space_group_name_H-M_alt 'C 1 2/c 1'
_space_group_IT_number 15
_space_group_name_Hall '-C 2yc'
_cell_length_a 9.5494
_cell_length_b 8.2917
_cell_length_c 9.3601
_cell_angle_alpha 90.00
_cell_angle_beta 116.97
_cell_angle_gamma 90.00
loop_
_atom_site_label
_atom_site_fract_x
_atom_site_fract_y
_atom_site_fract_z
La1 0.1186 0.1695 0.1524
Pm1 0.1645 0.4522 0.4725
Sc1 0.0000 0.2056 0.7500
```

Peak list (10 most intense, 2θ = 5–70°, most intense first)
d_spacing  I (rel.)  index
2.892  100  3 1 -2
2.996  40  1 1 2
2.940  31  0 2 2
3.128  27  2 2 -1
2.951  26  3 1 -1
2.629  25  1 3 0
2.554  22  2 2 1
1.548  19  4 4 -1
4.246  15  1 1 1
2.338  15  2 0 -4

=====

Diffraction record for Tb2Zn5Ru2Rh. The powder diffraction line list is computed, not measured: it uses DFT lattice parameters and positions (PBE) and CuKα.
No peak broadening, texture or thermal motion is included.

Crystal structure
```
data_Tb2Zn5Ru2Rh
_chemical_formula_sum 'Tb4 Zn10 Ru4 Rh2'
_space_group_name_H-M_alt 'P 4/m b m'
_space_group_IT_number 127
_space_group_name_Hall '-P 4 2ab'
_cell_length_a 9.8980
_cell_length_b 9.8980
_cell_length_c 3.5384
_cell_angle_alpha 90.00
_cell_angle_beta 90.00
_cell_angle_gamma 90.00
loop_
_atom_site_label
_atom_site_fract_x
_atom_site_fract_y
_atom_site_fract_z
Tb1 0.1757 0.3243 0.0000
Zn1 0.0000 0.5000 0.5000
Zn2 0.0549 0.8117 0.5000
Ru1 0.1321 0.6321 0.0000
Rh1 0.0000 0.0000 0.0000
```

Peak list (10 most intense, 2θ = 5–70°, most intense first)
d_spacing  I (rel.)  index
2.344  100  3 1 1
2.401  35  4 1 0
2.333  26  3 3 0
2.169  24  3 2 1
2.488  20  2 2 1
1.769  18  0 0 2
3.130  14  3 1 0
1.424  13  4 1 2
2.878  10  2 0 1
1.410  10  3 3 2

=====

Diffraction record for TbSc2Pb. The powder diffraction line list is computed, not measured: it uses DFT lattice parameters and positions (PBE) and CuKα.
No peak broadening, texture or thermal motion is included.

Crystal structure
```
data_TbSc2Pb
_chemical_formula_sum 'Tb1 Sc2 Pb1'
_space_group_name_H-M_alt 'P 4/m m m'
_space_group_IT_number 123
_space_group_name_Hall '-P 4 2'
_cell_length_a 4.6893
_cell_length_b 4.6893
_cell_length_c 4.6213
_cell_angle_alpha 90.00
_cell_angle_beta 90.00
_cell_angle_gamma 90.00
loop_
_atom_site_label
_atom_site_fract_x
_atom_site_fract_y
_atom_site_fract_z
Tb1 0.0000 0.0000 0.0000
Sc1 0.0000 0.5000 0.5000
Pb1 0.5000 0.5000 0.0000
```

Peak list (10 most intense, 2θ = 5–70°, most intense first)
d_spacing  I (rel.)  index
2.694  100  1 1 1
2.345  34  2 0 0
4.621  33  0 0 1
3.316  31  1 1 0
1.412  27  3 1 1
1.646  23  2 0 2
2.091  18  2 0 1
2.311  16  0 0 2
1.896  14  1 1 2
1.397  13  1 1 3

=====

Diffraction record for Mg3Zn. The powder diffraction line list is computed, not measured: it uses DFT lattice parameters and positions (PBE) and CuKα.
No peak broadening, texture or thermal motion is included.

Crystal structure
```
data_Mg3Zn
_chemical_formula_sum 'Mg6 Zn2'
_space_group_name_H-M_alt 'P m -3 n'
_space_group_IT_number 223
_space_group_name_Hall '-P 4n 2 3'
_cell_length_a 5.4739
_cell_length_b 5.4739
_cell_length_c 5.4739
_cell_angle_alpha 90.00
_cell_angle_beta 90.00
_cell_angle_gamma 90.00
loop_
_atom_site_label
_atom_site_fract_x
_atom_site_fract_y
_atom_site_fract_z
Mg1 0.0000 0.2500 0.5000
Zn1 0.0000 0.0000 0.0000
```

Peak list (9 most intense, 2θ = 5–70°, most intense first)
d_spacing  I (rel.)  index
2.235  100  2 1 1
1.463  49  3 2 1
3.871  48  1 1 0
2.737  45  2 0 0
2.448  37  2 1 0
1.368  11  4 0 0
1.731  10  3 1 0
1.518  8  3 2 0
1.935  7  2 2 0

=====

Diffraction record for Fe5Co. The powder diffraction line list is computed, not measured: it uses DFT lattice parameters and positions (PBE) and CuKα.
No peak broadening, texture or thermal motion is included.

Crystal structure
```
data_Fe5Co
_chemical_formula_sum 'Fe5 Co1'
_space_group_name_H-M_alt 'P -3 m 1'
_space_group_IT_number 164
_space_group_name_Hall '-P 3 2"'
_cell_length_a 4.0246
_cell_length_b 4.0246
_cell_length_c 4.9475
_cell_angle_alpha 90.00
_cell_angle_beta 90.00
_cell_angle_gamma 120.00
loop_
_atom_site_label
_atom_site_fract_x
_atom_site_fract_y
_atom_site_fract_z
Fe1 0.0000 0.0000 0.0000
Fe2 0.3333 0.6667 0.1640
Fe3 0.3333 0.6667 0.6657
Co1 0.0000 0.0000 0.5000
```

Peak list (3 most intense, 2θ = 5–70°, most intense first)
d_spacing  I (rel.)  index
2.017  100  0 1 2
2.012  99  1 1 0
1.425  29  2 0 2

=====

Diffraction record for Ba4In3Ge. The powder diffraction line list is computed, not measured: it uses DFT lattice parameters and positions (PBE) and CuKα.
No peak broadening, texture or thermal motion is included.

Crystal structure
```
data_Ba4In3Ge
_chemical_formula_sum 'Ba4 In3 Ge1'
_space_group_name_H-M_alt 'P m m 2'
_space_group_IT_number 25
_space_group_name_Hall 'P 2 -2'
_cell_length_a 4.8135
_cell_length_b 5.0680
_cell_length_c 13.1269
_cell_angle_alpha 90.00
_cell_angle_beta 90.00
_cell_angle_gamma 90.00
loop_
_atom_site_label
_atom_site_fract_x
_atom_site_fract_y
_atom_site_fract_z
Ba1 0.0000 0.0000 0.0000
Ba2 0.0000 0.5000 0.4751
Ba3 0.5000 0.0000 0.6992
Ba4 0.5000 0.5000 0.2086
In1 0.0000 0.5000 0.7789
In2 0.5000 0.0000 0.4052
In3 0.5000 0.5000 0.9154
Ge1 0.0000 0.0000 0.2756
```

Peak list (10 most intense, 2θ = 5–70°, most intense first)
d_spacing  I (rel.)  index
3.373  100  1 1 1
2.728  68  1 1 3
3.312  50  0 1 3
2.712  33  1 0 4
2.534  31  0 2 0
2.407  27  2 0 0
1.947  22  2 1 3
1.851  22  1 2 4
1.745  21  2 2 0
3.282  18  0 0 4

=====

Diffraction record for As2Pd13. The powder diffraction line list is computed, not measured: it uses DFT lattice parameters and positions (PBE) and CuKα.
No peak broadening, texture or thermal motion is included.

Crystal structure
```
data_As2Pd13
_chemical_formula_sum 'As2 Pd13'
_space_group_name_H-M_alt 'P -1'
_space_group_IT_number 2
_space_group_name_Hall '-P 1'
_cell_length_a 5.0927
_cell_length_b 6.6208
_cell_length_c 7.5784
_cell_angle_alpha 68.88
_cell_angle_beta 79.79
_cell_angle_gamma 81.40
loop_
_atom_site_label
_atom_site_fract_x
_atom_site_fract_y
_atom_site_fract_z
As1 0.1737 0.2883 0.4308
Pd1 0.0000 0.5000 0.0000
Pd2 0.0481 0.9266 0.7045
Pd3 0.2274 0.6810 0.2131
Pd4 0.2509 0.0954 0.9459
Pd5 0.2653 0.5004 0.6437
Pd6 0.4496 0.8837 0.3951
Pd7 0.4847 0.2996 0.1408
```

Peak list (10 most intense, 2θ = 5–70°, most intense first)
d_spacing  I (rel.)  index
2.272  100  0 2 3
2.299  57  1 1 -2
2.221  47  1 -2 1
2.109  46  1 3 1
2.137  39  -2 1 1
1.726  18  1 0 4
1.479  12  -1 4 2
1.524  11  3 2 0
2.469  8  2 1 1
1.360  8  -1 1 5

=====

Diffraction record for Ac2PuGa4Au3. The powder diffraction line list is computed, not measured: it uses DFT lattice parameters and positions (PBE) and CuKα.
No peak broadening, texture or thermal motion is included.

Crystal structure
```
data_Ac2PuGa4Au3
_chemical_formula_sum 'Ac2 Pu1 Ga4 Au3'
_space_group_name_H-M_alt 'P -4 m 2'
_space_group_IT_number 115
_space_group_name_Hall 'P -4 -2'
_cell_length_a 4.5200
_cell_length_b 4.5200
_cell_length_c 11.7236
_cell_angle_alpha 90.00
_cell_angle_beta 90.00
_cell_angle_gamma 90.00
loop_
_atom_site_label
_atom_site_fract_x
_atom_site_fract_y
_atom_site_fract_z
Ac1 0.0000 0.5000 0.2360
Pu1 0.0000 0.0000 0.5000
Ga1 0.0000 0.0000 0.0000
Ga2 0.0000 0.5000 0.6595
Ga3 0.5000 0.5000 0.0000
Au1 0.0000 0.5000 0.8790
Au2 0.5000 0.5000 0.5000
```

Peak list (10 most intense, 2θ = 5–70°, most intense first)
d_spacing  I (rel.)  index
2.806  100  1 1 2
2.260  60  2 0 0
2.956  57  1 0 3
1.795  36  2 1 3
3.084  32  1 1 1
2.081  24  1 0 5
1.389  24  3 1 2
1.598  21  2 2 0
2.160  19  1 1 4
1.531  18  2 1 5

=====

Diffraction record for Hf12CrSb6. The powder diffraction line list is computed, not measured: it uses DFT lattice parameters and positions (PBE) and CuKα.
No peak broadening, texture or thermal motion is included.

Crystal structure
```
data_Hf12CrSb6
_chemical_formula_sum 'Hf36 Cr3 Sb18'
_space_group_name_H-M_alt 'R -3'
_space_group_IT_number 148
_space_group_name_Hall '-R 3'
_cell_length_a 12.1680
_cell_length_b 12.1680
_cell_length_c 10.6918
_cell_angle_alpha 90.00
_cell_angle_beta 90.00
_cell_angle_gamma 120.00
loop_
_atom_site_label
_atom_site_fract_x
_atom_site_fract_y
_atom_site_fract_z
Hf1 0.0248 0.1653 0.3772
Hf2 0.0713 0.1911 0.8752
Cr1 0.0000 0.0000 0.0000
Sb1 0.0334 0.2918 0.6327
```

Peak list (10 most intense, 2θ = 5–70°, most intense first)
d_spacing  I (rel.)  index
2.564  100  3 1 2
2.203  64  5 -3 2
2.591  60  1 0 4
2.361  42  0 4 2
3.042  33  2 2 0
1.538  28  4 -2 6
3.194  25  3 -2 2
2.219  23  2 1 4
2.819  19  1 3 1
1.687  17  2 5 0

=====

Diffraction record for BaBiRh2Pb2. The powder diffraction line list is computed, not measured: it uses DFT lattice parameters and positions (PBE) and CuKα.
No peak broadening, texture or thermal motion is included.

Crystal structure
```
data_BaBiRh2Pb2
_chemical_formula_sum 'Ba1 Bi1 Rh2 Pb2'
_space_group_name_H-M_alt 'P 4/m m m'
_space_group_IT_number 123
_space_group_name_Hall '-P 4 2'
_cell_length_a 5.1141
_cell_length_b 5.1141
_cell_length_c 6.8297
_cell_angle_alpha 90.00
_cell_angle_beta 90.00
_cell_angle_gamma 90.00
loop_
_atom_site_label
_atom_site_fract_x
_atom_site_fract_y
_atom_site_fract_z
Ba1 0.0000 0.0000 0.0000
Bi1 0.0000 0.0000 0.5000
Rh1 0.0000 0.5000 0.5000
Pb1 0.5000 0.5000 0.2624
```

Peak list (10 most intense, 2θ = 5–70°, most intense first)
d_spacing  I (rel.)  index
2.840  100  1 0 2
1.900  64  2 1 2
2.557  63  2 0 0
3.616  47  1 1 0
6.830  37  0 0 1
1.808  23  2 2 0
1.420  20  2 0 4
1.525  16  3 0 2
2.395  12  2 0 1
1.617  10  3 1 0

=====

Diffraction record for Rb2SrBiS4. The powder diffraction line list is computed, not measured: it uses DFT lattice parameters and positions (PBE) and CuKα.
No peak broadening, texture or thermal motion is included.

Crystal structure
```
data_Rb2SrBiS4
_chemical_formula_sum 'Rb8 Sr4 Bi4 S16'
_space_group_name_H-M_alt 'I m m a'
_space_group_IT_number 74
_space_group_name_Hall '-I 2b 2'
_cell_length_a 8.5519
_cell_length_b 9.0985
_cell_length_c 12.4762
_cell_angle_alpha 90.00
_cell_angle_beta 90.00
_cell_angle_gamma 90.00
loop_
_atom_site_label
_atom_site_fract_x
_atom_site_fract_y
_atom_site_fract_z
Rb1 0.0000 0.0000 0.0000
Rb2 0.2500 0.2500 0.2500
Sr1 0.0000 0.0000 0.5000
Bi1 0.2500 0.2500 0.7500
S1 0.0000 0.0405 0.7415
S2 0.2278 0.2500 0.5249
```

Peak list (10 most intense, 2θ = 5–70°, most intense first)
d_spacing  I (rel.)  index
3.117  100  2 2 0
2.204  48  2 2 4
3.676  33  0 2 2
7.351  30  0 1 1
3.527  29  2 0 2
1.394  20  4 4 4
1.912  13  2 4 2
2.275  13  0 4 0
1.838  13  0 4 4
2.138  12  4 0 0

=====

Diffraction record for YW. The powder diffraction line list is computed, not measured: it uses DFT lattice parameters and positions (PBE) and CuKα.
No peak broadening, texture or thermal motion is included.

Crystal structure
```
data_YW
_chemical_formula_sum 'Y4 W4'
_space_group_name_H-M_alt 'I m m a'
_space_group_IT_number 74
_space_group_name_Hall '-I 2b 2'
_cell_length_a 4.3456
_cell_length_b 5.2699
_cell_length_c 7.7730
_cell_angle_alpha 90.00
_cell_angle_beta 90.00
_cell_angle_gamma 90.00
loop_
_atom_site_label
_atom_site_fract_x
_atom_site_fract_y
_atom_site_fract_z
Y1 0.0000 0.2500 0.1036
W1 0.0000 0.2500 0.6625
```

Peak list (10 most intense, 2θ = 5–70°, most intense first)
d_spacing  I (rel.)  index
2.539  100  1 1 2
2.635  33  0 2 0
4.362  31  0 1 1
1.502  20  1 3 2
2.173  19  2 0 0
1.676  17  2 2 0
1.944  14  0 0 4
2.225  12  1 0 3
1.700  11  1 2 3
1.564  6  0 2 4